Simulated XRD peak list of BaPm2Hg3 for Cu Kα, from the PBE geometry in Alexandria.
Peak positions follow from Bragg's law for the DFT cell and can differ from measured ones.

Most intense lines, 2θ = 15–90°, in order of rising 2θ:
| 2θ (°) | intensity |
| --- | --- |
| 32.0 | 1000 |
| 32.5 | 557 |
| 37.8 | 102 |
| 46.7 | 206 |
| 56.8 | 125 |
| 57.7 | 379 |

Cell and atoms:
```
data_BaPm2Hg3
_cell_length_a 3.8940
_cell_length_b 3.8940
_cell_length_c 12.0326
_cell_angle_alpha 90.00
_cell_angle_beta 90.00
_cell_angle_gamma 90.00
_space_group_name_H-M_alt 'P 4/m m m'
_space_group_IT_number 123
_space_group_name_Hall '-P 4 2'
loop_
_atom_site_label
_atom_site_type_symbol
_atom_site_fract_x
_atom_site_fract_y
_atom_site_fract_z
Ba1 Ba 0.0000 0.0000 0.0000
Pm1 Pm 0.0000 0.0000 0.3436
Hg1 Hg 0.5000 0.5000 0.1979
Hg2 Hg 0.5000 0.5000 0.5000
```